# 1
Calculated powder X-ray diffraction pattern of RbPrVN3 for Cu Kα (λ = 1.5418 Å), from a crystal structure in Alexandria, relaxed with GGA-PBE.

The 10 most intense peaks (5° ≤ 2θ ≤ 70°), most intense first:
d (Å), 2θ/deg, I_rel, hkl
2.834, 31.57, 100.0, 1 1 -2
2.916, 30.66, 79.4, 3 1 0
8.015, 11.04, 52.7, 0 0 1
2.971, 30.07, 43.4, 4 0 -2
3.088, 28.91, 43.0, 2 0 2
1.939, 46.87, 21.0, 0 2 0
2.213, 40.78, 20.4, 6 0 0
3.319, 26.86, 18.8, 4 0 0
1.623, 56.71, 17.6, 4 2 -2
2.184, 41.34, 17.5, 3 1 2

Cell and atoms:
Lattice parameters (Å, degrees): 13.7669 3.8770 8.3112 90.00 105.34 90.00
Space group C2/m (No. 12)
Asymmetric unit:
Rb: 0.1396 0.0000 0.0650
Pr: 0.1580 0.0000 0.5825
V: 0.0076 0.5000 0.3223
N: 0.0110 0.0000 0.3289
N: 0.1274 0.5000 0.7747
N: 0.1548 0.5000 0.3726

***

# 2
Calculated powder X-ray diffraction pattern of Pr2Re3N8 for Cu Kα (λ = 1.5418 Å), from a crystal structure in Alexandria, relaxed with GGA-PBE.

The 10 most intense peaks (5° ≤ 2θ ≤ 70°), most intense first:
d (Å), 2θ/deg, I_rel, hkl
3.171, 28.14, 100.0, 3 1 -1
3.306, 26.97, 99.4, 1 1 1
5.561, 15.94, 62.9, 2 0 0
2.648, 33.85, 61.7, 0 2 1
2.781, 32.18, 60.4, 4 0 0
2.156, 41.91, 47.2, 4 2 -1
2.772, 32.29, 37.3, 2 2 0
2.542, 35.31, 35.9, 2 0 -2
4.529, 19.60, 35.2, 2 0 -1
1.745, 52.45, 32.8, 4 2 1

Cell and atoms:
Lattice parameters (Å, degrees): 11.9880 6.3952 5.0924 90.00 111.87 90.00
Space group C2/m (No. 12)
Asymmetric unit:
Pr: 0.2360 0.0000 0.1595
Re: 0.0000 0.2031 0.5000
Re: 0.0000 0.5000 0.0000
N: 0.0973 0.5000 0.3963
N: 0.0990 0.2772 0.8920
N: 0.1118 0.0000 0.4468

***

# 3
Calculated powder X-ray diffraction pattern of SrPr2RuN4 for Cu Kα (λ = 1.5418 Å), from a crystal structure in Alexandria, relaxed with GGA-PBE.

The 10 most intense peaks (5° ≤ 2θ ≤ 70°), most intense first:
d (Å), 2θ/deg, I_rel, hkl
2.481, 36.21, 100.0, 1 3 2
3.004, 29.74, 92.5, 1 1 2
3.111, 28.69, 56.9, 0 4 0
3.050, 29.28, 44.1, 0 0 4
1.556, 59.41, 31.5, 2 4 0
2.178, 41.46, 30.5, 0 4 4
2.272, 39.68, 23.1, 0 2 5
1.542, 60.00, 22.9, 1 7 2
3.404, 26.18, 21.8, 0 2 3
5.543, 15.99, 20.2, 0 2 1

Cell and atoms:
Lattice parameters (Å, degrees): 3.5922 12.4454 12.2001 90.00 90.00 90.00
Space group Cmcm (No. 63)
Asymmetric unit:
Sr: 0.0000 0.1145 0.2500
Pr: 0.0000 0.3683 0.0368
Ru: 0.0000 0.1579 0.7500
N: 0.0000 0.0000 0.0000
N: 0.0000 0.2617 0.6288
N: 0.0000 0.4111 0.2500

***

# 4
Calculated powder X-ray diffraction pattern of PrU2RuN4 for Cu Kα (λ = 1.5418 Å), from a crystal structure in Alexandria, relaxed with GGA-PBE.

The 10 most intense peaks (5° ≤ 2θ ≤ 70°), most intense first:
d (Å), 2θ/deg, I_rel, hkl
2.864, 31.24, 100.0, 1 1 2
3.216, 27.74, 82.4, 0 2 3
2.353, 38.25, 80.1, 1 3 2
2.921, 30.61, 66.2, 0 4 0
1.720, 53.27, 47.6, 2 0 0
2.505, 35.85, 32.5, 1 1 3
1.727, 53.02, 29.5, 1 5 3
2.515, 35.70, 27.9, 1 3 1
2.149, 42.04, 26.5, 0 2 5
1.481, 62.72, 25.8, 2 4 0

Cell and atoms:
Lattice parameters (Å, degrees): 3.4364 11.6825 11.5576 90.00 90.00 90.00
Space group Cmcm (No. 63)
Asymmetric unit:
Pr: 0.0000 0.1042 0.2500
U: 0.0000 0.3701 0.0561
Ru: 0.0000 0.1572 0.7500
N: 0.0000 0.0000 0.0000
N: 0.0000 0.2704 0.6049
N: 0.0000 0.4479 0.2500

***

# 5
Calculated powder X-ray diffraction pattern of Pr2SN for Cu Kα (λ = 1.5418 Å), from a crystal structure in Alexandria, relaxed with GGA-PBE.

The 10 most intense peaks (5° ≤ 2θ ≤ 70°), most intense first:
d (Å), 2θ/deg, I_rel, hkl
2.941, 30.39, 100.0, 1 0 1
2.350, 38.29, 37.7, 0 1 2
1.885, 48.27, 24.7, 1 1 0
1.857, 49.06, 17.6, 1 0 3
3.386, 26.32, 16.6, 0 0 2
1.587, 58.11, 15.9, 0 2 1
1.647, 55.81, 13.4, 1 1 2
3.266, 27.31, 9.4, 1 0 0
1.503, 61.72, 9.2, 0 1 4
1.471, 63.22, 8.3, 2 0 2

Cell and atoms:
Lattice parameters (Å, degrees): 3.7709 3.7709 6.7714 90.00 90.00 120.00
Space group P-3m1 (No. 164)
Asymmetric unit:
Pr: 0.3333 0.6667 0.2122
S: 0.0000 0.0000 0.5000
N: 0.0000 0.0000 0.0000

***

# 6
Calculated powder X-ray diffraction pattern of Pr8Se4S3N for Cu Kα (λ = 1.5418 Å), from a crystal structure in Alexandria, relaxed with GGA-PBE.

The 10 most intense peaks (5° ≤ 2θ ≤ 70°), most intense first:
d (Å), 2θ/deg, I_rel, hkl
2.931, 30.50, 100.0, 0 2 4
2.058, 44.00, 35.6, 2 2 0
2.087, 43.35, 32.3, 2 0 8
3.369, 26.46, 27.7, 2 0 2
1.684, 54.48, 17.4, 4 0 4
2.696, 33.24, 10.7, 2 0 5
1.465, 63.48, 9.5, 0 4 8
3.433, 25.95, 8.2, 0 0 6
1.530, 60.50, 7.7, 2 2 9
1.765, 51.79, 6.5, 2 2 6

Cell and atoms:
Lattice parameters (Å, degrees): 8.2320 8.2320 20.5996 90.00 90.00 120.00
Space group R-3m (No. 166, hexagonal axes)
Asymmetric unit:
Pr: 0.0000 0.0000 0.2435
Pr: 0.0260 0.5130 0.2386
Se: 0.0000 0.0000 0.0000
Se: 0.0000 0.5000 0.0000
S: 0.0000 0.5000 0.5000
N: 0.0000 0.0000 0.5000

***

# 7
Calculated powder X-ray diffraction pattern of Pr3SbN2 for Cu Kα (λ = 1.5418 Å), from a crystal structure in Alexandria, relaxed with GGA-PBE.

The 10 most intense peaks (5° ≤ 2θ ≤ 70°), most intense first:
d (Å), 2θ/deg, I_rel, hkl
2.766, 32.36, 100.0, 1 2 1
3.192, 27.96, 36.0, 0 1 2
3.050, 29.28, 33.4, 1 1 1
3.293, 27.08, 24.9, 0 3 1
2.842, 31.47, 21.1, 0 4 0
2.500, 35.93, 20.6, 0 3 2
2.613, 34.32, 16.0, 0 4 1
1.862, 48.91, 15.9, 1 1 3
1.800, 50.71, 13.4, 2 0 0
1.664, 55.20, 13.3, 0 0 4

Cell and atoms:
Lattice parameters (Å, degrees): 3.6007 11.3699 6.6506 90.00 90.00 90.00
Space group Pmc2_1 (No. 26)
Asymmetric unit:
Pr: 0.0000 0.0923 0.0000
Pr: 0.5000 0.1730 0.5340
Pr: 0.5000 0.3923 0.8754
Sb: 0.0000 0.3658 0.2805
N: 0.0000 0.2525 0.7733
N: 0.5000 0.0038 0.2921

***

# 8
Calculated powder X-ray diffraction pattern of Pr5Sb2N2 for Cu Kα (λ = 1.5418 Å), from a crystal structure in Alexandria, relaxed with GGA-PBE.

The 10 most intense peaks (5° ≤ 2θ ≤ 70°), most intense first:
d (Å), 2θ/deg, I_rel, hkl
3.009, 29.69, 100.0, 1 1 -2
2.787, 32.11, 98.1, 3 1 1
2.614, 34.31, 54.4, 0 2 0
3.314, 26.90, 40.9, 4 0 -1
2.036, 44.50, 31.2, 2 0 3
3.297, 27.04, 26.3, 3 1 -1
1.607, 57.35, 21.7, 2 2 3
2.052, 44.13, 21.4, 4 2 -1
3.538, 25.17, 17.4, 0 0 2
3.236, 27.57, 16.7, 4 0 0

Cell and atoms:
Lattice parameters (Å, degrees): 13.4820 5.2271 7.3588 90.00 106.25 90.00
Space group C2/m (No. 12)
Asymmetric unit:
Pr: 0.0000 0.0000 0.0000
Pr: 0.1547 0.0000 0.5738
Pr: 0.1640 0.5000 0.9188
Sb: 0.0923 0.5000 0.3067
N: 0.1623 0.0000 0.8891